Record 1
This entry pairs a crystal structure of CsBi3Au with its simulated PXRD pattern. Radiation: copper Kα. Structure: a GGA-PBE-relaxed structure.
Intensities are scaled so that the largest is 100.

Cell: 5.2305 5.2305 12.9281 Å, 90.00 90.00 90.00°
Space group I4mm (No. 107)
Unique sites:
Cs 0.0000 0.0000 0.0000
Bi 0.0000 0.0000 0.4029
Bi 0.0000 0.5000 0.2432
Au 0.0000 0.0000 0.6299

The 10 most intense peaks (2θ = 10–80°), in order of falling intensity:
hkl 1 1 2, 27.8 deg, I 100
hkl 2 0 0, 34.3 deg, I 73
hkl 1 1 4, 36.9 deg, I 54
hkl 1 0 3, 26.8 deg, I 36
hkl 1 0 5, 38.9 deg, I 27
hkl 3 1 2, 57.5 deg, I 27
hkl 2 2 0, 49.3 deg, I 27
hkl 3 1 4, 63.1 deg, I 24
hkl 2 1 5, 52.8 deg, I 23
hkl 1 0 1, 18.3 deg, I 22

Record 2
This entry pairs a crystal structure of Cs3Bi2Au4 with its simulated PXRD pattern. Radiation: copper Kα. Structure: a GGA-PBE-relaxed structure.
Intensities are scaled so that the largest is 100.

Cell: 5.1713 7.2754 9.8267 Å, 73.51 89.86 69.27°
Space group P-1 (No. 2)
Unique sites:
Cs 0.0000 0.0000 0.0000
Cs 0.3654 0.2688 0.6250
Bi 0.3350 0.3306 0.2180
Au 0.0773 0.8508 0.6303
Au 0.2368 0.5252 0.9151

The 10 most intense peaks (2θ = 10–80°), in order of falling intensity:
hkl 0 1 1, 14.1 deg, I 100
hkl 2 1 0, 34.7 deg, I 46
hkl 0 2 2, 28.3 deg, I 44
hkl 1 2 0, 26.9 deg, I 37
hkl 1 0 3, 36.0 deg, I 30
hkl 1 1 -3, 36.1 deg, I 29
hkl 2 3 2, 45.4 deg, I 26
hkl 1 2 5, 50.1 deg, I 24
hkl 1 -1 2, 36.6 deg, I 22
hkl 1 2 -2, 36.7 deg, I 22

Record 3
This entry pairs a crystal structure of CsBi2Au4 with its simulated PXRD pattern. Radiation: copper Kα. Structure: a GGA-PBE-relaxed structure.
Intensities are scaled so that the largest is 100.

Cell: 9.6465 9.6465 8.5513 Å, 90.00 90.00 90.00°
Space group I4/mcm (No. 140)
Unique sites:
Cs 0.0000 0.0000 0.2500
Bi 0.1283 0.3717 0.0000
Au 0.1607 0.3393 0.3373

The 10 most intense peaks (2θ = 10–80°), in order of falling intensity:
hkl 2 1 3, 37.8 deg, I 100
hkl 3 1 0, 29.3 deg, I 70
hkl 1 1 0, 13.0 deg, I 32
hkl 5 2 3, 61.1 deg, I 31
hkl 3 3 0, 39.6 deg, I 21
hkl 4 0 0, 37.3 deg, I 19
hkl 4 1 3, 50.5 deg, I 16
hkl 3 2 3, 46.5 deg, I 12
hkl 3 3 6, 79.3 deg, I 10
hkl 1 1 2, 24.6 deg, I 10

Record 4
This entry pairs a crystal structure of Cs2Bi4Au5 with its simulated PXRD pattern. Radiation: copper Kα. Structure: a GGA-PBE-relaxed structure.
Intensities are scaled so that the largest is 100.

Cell: 7.9483 13.1421 14.9319 Å, 90.00 90.00 90.00°
Space group Fmmm (No. 69)
Unique sites:
Cs 0.0000 0.0000 0.1421
Bi 0.0000 0.1715 0.3794
Au 0.0000 0.0000 0.5000
Au 0.2500 0.2500 0.0000
Au 0.2500 0.2500 0.2500

The 10 most intense peaks (2θ = 10–80°), in order of falling intensity:
hkl 2 0 4, 32.9 deg, I 100
hkl 1 3 3, 29.4 deg, I 91
hkl 0 2 0, 13.5 deg, I 90
hkl 2 2 4, 35.7 deg, I 87
hkl 2 6 0, 47.4 deg, I 58
hkl 1 3 1, 23.9 deg, I 52
hkl 1 1 1, 14.3 deg, I 51
hkl 0 4 4, 36.4 deg, I 42
hkl 1 3 5, 38.2 deg, I 42
hkl 2 2 0, 26.2 deg, I 41

Record 5
This entry pairs a crystal structure of Cs8BiAuF2 with its simulated PXRD pattern. Radiation: copper Kα. Structure: a GGA-PBE-relaxed structure.
Intensities are scaled so that the largest is 100.

Cell: 9.2464 9.2464 10.9568 Å, 90.00 90.00 120.00°
Space group P-3m1 (No. 164)
Unique sites:
Cs 0.1654 0.3308 0.2745
Cs 0.3333 0.6667 0.9361
Bi 0.0000 0.0000 0.0000
Au 0.0000 0.0000 0.5000
F 0.3333 0.6667 0.1861

The 10 most intense peaks (2θ = 10–80°), in order of falling intensity:
hkl 1 1 2, 25.2 deg, I 100
hkl 2 0 1, 23.7 deg, I 96
hkl 1 0 0, 11.0 deg, I 73
hkl 2 0 2, 27.6 deg, I 61
hkl 2 2 0, 39.0 deg, I 54
hkl 3 0 2, 37.5 deg, I 36
hkl 1 0 1, 13.7 deg, I 30
hkl 1 1 0, 19.2 deg, I 29
hkl 1 0 4, 34.6 deg, I 26
hkl 1 0 3, 26.8 deg, I 24

Record 6
This entry pairs a crystal structure of Cs8BiH2Au with its simulated PXRD pattern. Radiation: copper Kα. Structure: a GGA-PBE-relaxed structure.
Intensities are scaled so that the largest is 100.

Cell: 9.3876 9.3876 10.7919 Å, 90.00 90.00 120.00°
Space group P-3m1 (No. 164)
Unique sites:
Cs 0.1631 0.3262 0.2739
Cs 0.3333 0.6667 0.9227
Bi 0.0000 0.0000 0.0000
H 0.3333 0.6667 0.1839
Au 0.0000 0.0000 0.5000

The 10 most intense peaks (2θ = 10–80°), in order of falling intensity:
hkl 2 0 1, 23.4 deg, I 100
hkl 1 1 2, 25.1 deg, I 88
hkl 1 0 0, 10.9 deg, I 79
hkl 2 0 2, 27.5 deg, I 55
hkl 2 2 0, 38.4 deg, I 48
hkl 3 0 2, 37.1 deg, I 32
hkl 1 0 2, 19.7 deg, I 24
hkl 1 1 0, 18.9 deg, I 22
hkl 0 0 4, 33.2 deg, I 22
hkl 1 4 2, 54.4 deg, I 21

Record 7
This entry pairs a crystal structure of CsIn2BiAu with its simulated PXRD pattern. Radiation: copper Kα. Structure: a GGA-PBE-relaxed structure.
Intensities are scaled so that the largest is 100.

Cell: 5.1837 5.1837 7.9933 Å, 90.00 90.00 90.00°
Space group P4mm (No. 99)
Unique sites:
Cs 0.0000 0.0000 0.0000
In 0.0000 0.5000 0.4553
Bi 0.5000 0.5000 0.2210
Au 0.0000 0.0000 0.5651

The 10 most intense peaks (2θ = 10–80°), in order of falling intensity:
hkl 1 0 2, 28.2 deg, I 100
hkl 0 0 1, 11.1 deg, I 91
hkl 1 0 1, 20.4 deg, I 87
hkl 2 0 0, 34.6 deg, I 81
hkl 2 1 2, 45.2 deg, I 56
hkl 1 1 3, 41.9 deg, I 49
hkl 1 1 2, 33.2 deg, I 41
hkl 2 1 1, 40.5 deg, I 32
hkl 1 1 0, 24.3 deg, I 30
hkl 2 2 0, 49.8 deg, I 29

Record 8
This entry pairs a crystal structure of Cs3K2Bi2Au4 with its simulated PXRD pattern. Radiation: copper Kα. Structure: a GGA-PBE-relaxed structure.
Intensities are scaled so that the largest is 100.

Cell: 5.5562 5.5562 34.1350 Å, 90.00 90.00 90.00°
Space group I4/mmm (No. 139)
Unique sites:
Cs 0.0000 0.0000 0.0000
Cs 0.0000 0.0000 0.1416
K 0.0000 0.0000 0.2889
Bi 0.0000 0.0000 0.4048
Au 0.0000 0.5000 0.0769

The 10 most intense peaks (2θ = 10–80°), in order of falling intensity:
hkl 2 0 0, 32.2 deg, I 100
hkl 0 0 4, 10.4 deg, I 97
hkl 0 0 6, 15.6 deg, I 73
hkl 1 0 7, 24.3 deg, I 68
hkl 1 1 8, 30.9 deg, I 64
hkl 1 1 6, 27.6 deg, I 48
hkl 2 0 6, 36.0 deg, I 40
hkl 2 2 0, 46.2 deg, I 37
hkl 2 1 7, 40.8 deg, I 34
hkl 1 1 20, 59.0 deg, I 32

Record 9
This entry pairs a crystal structure of CsBiPb2Au with its simulated PXRD pattern. Radiation: copper Kα. Structure: a GGA-PBE-relaxed structure.
Intensities are scaled so that the largest is 100.

Cell: 5.4783 5.4783 7.5480 Å, 90.00 90.00 90.00°
Space group P4mm (No. 99)
Unique sites:
Cs 0.0000 0.0000 0.0000
Bi 0.5000 0.5000 0.2096
Pb 0.0000 0.5000 0.4469
Au 0.0000 0.0000 0.5379

The 10 most intense peaks (2θ = 10–80°), in order of falling intensity:
hkl 0 0 1, 11.7 deg, I 100
hkl 2 0 0, 32.7 deg, I 71
hkl 1 0 2, 28.7 deg, I 53
hkl 1 1 1, 25.9 deg, I 41
hkl 1 0 1, 20.0 deg, I 38
hkl 1 1 2, 33.1 deg, I 36
hkl 2 1 2, 44.1 deg, I 33
hkl 2 0 1, 34.8 deg, I 33
hkl 1 1 3, 42.9 deg, I 30
hkl 2 2 0, 46.9 deg, I 26

Record 10
This entry pairs a crystal structure of Cs2RbBiAu with its simulated PXRD pattern. Radiation: copper Kα. Structure: a GGA-PBE-relaxed structure.
Intensities are scaled so that the largest is 100.

Cell: 6.7314 6.7314 6.4865 Å, 90.00 90.00 90.00°
Space group P4mm (No. 99)
Unique sites:
Cs 0.0000 0.5000 0.0000
Rb 0.0000 0.0000 0.5007
Bi 0.5000 0.5000 0.4996
Au 0.0000 0.0000 0.0008

The 10 most intense peaks (2θ = 10–80°), in order of falling intensity:
hkl 2 0 0, 26.5 deg, I 100
hkl 1 0 1, 19.0 deg, I 76
hkl 2 0 2, 38.5 deg, I 75
hkl 1 1 1, 23.2 deg, I 63
hkl 0 0 2, 27.5 deg, I 45
hkl 2 2 2, 47.4 deg, I 41
hkl 2 1 1, 32.8 deg, I 41
hkl 2 2 0, 37.8 deg, I 39
hkl 4 2 2, 68.8 deg, I 28
hkl 3 1 1, 44.8 deg, I 21

Record 11
This entry pairs a crystal structure of CsBiTe2Au with its simulated PXRD pattern. Radiation: copper Kα. Structure: a GGA-PBE-relaxed structure.
Intensities are scaled so that the largest is 100.

Cell: 6.5906 16.8401 6.9324 Å, 90.00 90.00 90.00°
Space group Cmme (No. 67)
Unique sites:
Cs 0.0000 0.2500 0.2384
Bi 0.2500 0.0000 0.0000
Te 0.0000 0.1251 0.7280
Au 0.0000 0.0000 0.5000

The 10 most intense peaks (2θ = 10–80°), in order of falling intensity:
hkl 0 2 0, 10.5 deg, I 100
hkl 0 2 2, 27.8 deg, I 88
hkl 2 2 1, 31.9 deg, I 84
hkl 1 3 1, 24.5 deg, I 80
hkl 0 4 2, 33.5 deg, I 51
hkl 2 0 1, 30.0 deg, I 47
hkl 2 4 1, 37.0 deg, I 39
hkl 1 5 1, 32.5 deg, I 38
hkl 2 6 1, 44.4 deg, I 31
hkl 0 6 2, 41.4 deg, I 31

Record 12
This entry pairs a crystal structure of CuBiAu6 with its simulated PXRD pattern. Radiation: copper Kα. Structure: a GGA-PBE-relaxed structure.
Intensities are scaled so that the largest is 100.

Cell: 4.0129 4.0129 10.2364 Å, 90.00 90.00 90.00°
Space group P4/mmm (No. 123)
Unique sites:
Cu 0.0000 0.0000 0.0000
Bi 0.0000 0.0000 0.5000
Au 0.0000 0.5000 0.1650
Au 0.5000 0.5000 0.3653

The 10 most intense peaks (2θ = 10–80°), in order of falling intensity:
hkl 1 1 1, 32.8 deg, I 100
hkl 1 1 3, 41.4 deg, I 80
hkl 2 0 0, 45.2 deg, I 69
hkl 1 1 2, 36.2 deg, I 44
hkl 2 0 6, 72.8 deg, I 38
hkl 1 0 4, 41.9 deg, I 35
hkl 1 0 3, 34.5 deg, I 29
hkl 0 0 3, 26.1 deg, I 25
hkl 1 0 2, 28.3 deg, I 24
hkl 2 2 0, 65.8 deg, I 23